Computed powder X-ray diffraction pattern
Compound: DyBC
Radiation: copper Kα
Structure: a PBE-relaxed structure
Lines closer than 0.1° are merged.

```
data_DyBC
_chemical_formula_sum 'Dy4 B4 C4'
_cell_length_a 3.3896
_cell_length_b 19.0770
_cell_length_c 3.5265
_cell_angle_alpha 90.00
_cell_angle_beta 90.00
_cell_angle_gamma 90.00
_space_group_name_H-M_alt 'C m m m'
_space_group_IT_number 65
_space_group_name_Hall '-C 2 2'
loop_
_atom_site_label
_atom_site_type_symbol
_atom_site_fract_x
_atom_site_fract_y
_atom_site_fract_z
Dy1 Dy 0.0000 0.1563 0.0000
B1 B 0.0000 0.2767 0.5000
C1 C 0.0000 0.3549 0.5000
```

Main lines, low angle first (10° ≤ 2θ ≤ 80°):
2θ 18.60, intensity 79, (0 4 0); 2θ 25.25, intensity 54, (0 0 1); 2θ 28.06, intensity 49, (0 6 0); 2θ 29.87, intensity 74, (1 3 0); 2θ 31.55, intensity 38, (0 4 1); 2θ 37.09, intensity 38, (1 1 1); 2θ 38.11, intensity 40, (0 6 1); 2θ 39.50, intensity 100, (1 3 1)